Entry 1:
This entry pairs a crystal structure of Sn3AsSe3 with its simulated PXRD pattern. Radiation: a wavelength of 1.5418 Å. Structure: the PBE geometry in Alexandria.
Intensities are scaled so that the largest is 100.

Principal peaks in the range 10° ≤ 2θ ≤ 90°, in order of rising 2θ:
2theta, I (rel.)
30.95, 100
31.21, 48
43.46, 19
44.34, 37
44.72, 35
55.96, 18

Cell and atoms:
a b c (Å): 8.330 4.011 11.464
angles (deg): 90.00 90.67 90.00
Fractional positions:
Sn 0.125 0.250 0.124
Sn 0.132 0.250 0.622
Sn 0.372 0.750 0.861
Sn 0.628 0.250 0.139
Sn 0.868 0.750 0.378
Sn 0.875 0.750 0.876
As 0.124 0.250 0.872
As 0.876 0.750 0.128
Se 0.112 0.250 0.380
Se 0.361 0.750 0.618
Se 0.382 0.750 0.131
Se 0.618 0.250 0.869
Se 0.639 0.250 0.382
Se 0.888 0.750 0.620



Entry 2:
This entry pairs a crystal structure of Tb5As2Se2 with its simulated PXRD pattern. Radiation: a wavelength of 1.5418 Å. Structure: the PBE geometry in Alexandria.
Intensities are scaled so that the largest is 100.

Principal peaks in the range 10° ≤ 2θ ≤ 90°, in order of rising 2θ:
2theta, I (rel.)
25.97, 39
31.84, 100
34.89, 34
35.93, 88
37.42, 63
37.61, 65

Cell and atoms:
a b c (Å): 8.241 8.241 7.709
angles (deg): 90.00 90.00 55.41
Fractional positions:
Tb 0.000 0.000 0.000
Tb 0.024 0.706 0.656
Tb 0.206 0.524 0.156
Tb 0.294 0.976 0.656
Tb 0.476 0.794 0.156
Tb 0.500 0.500 0.500
Tb 0.524 0.206 0.844
Tb 0.706 0.024 0.344
Tb 0.794 0.476 0.844
Tb 0.976 0.294 0.344
As 0.146 0.854 0.355
As 0.354 0.646 0.855
As 0.646 0.354 0.145
As 0.854 0.146 0.645
Se 0.197 0.197 0.000
Se 0.303 0.303 0.500
Se 0.697 0.697 0.500
Se 0.803 0.803 0.000



Entry 3:
This entry pairs a crystal structure of TbThAsSe with its simulated PXRD pattern. Radiation: a wavelength of 1.5418 Å. Structure: the PBE geometry in Alexandria.
Intensities are scaled so that the largest is 100.

Principal peaks in the range 10° ≤ 2θ ≤ 90°, in order of rising 2θ:
2theta, I (rel.)
26.11, 32
30.24, 100
43.29, 76
53.72, 27
71.33, 23
79.42, 26

Cell and atoms:
a b c (Å): 4.177 4.177 5.918
angles (deg): 90.00 90.00 90.00
Fractional positions:
Tb 0.000 0.000 0.000
Th 0.500 0.500 0.500
As 0.500 0.500 0.000
Se 0.000 0.000 0.500



Entry 4:
This entry pairs a crystal structure of TbTmAsSe with its simulated PXRD pattern. Radiation: a wavelength of 1.5418 Å. Structure: the PBE geometry in Alexandria.
Intensities are scaled so that the largest is 100.

Principal peaks in the range 10° ≤ 2θ ≤ 90°, in order of rising 2θ:
2theta, I (rel.)
26.02, 30
27.04, 32
30.81, 23
33.38, 100
39.53, 40
45.26, 53

Cell and atoms:
a b c (Å): 4.007 4.007 21.169
angles (deg): 90.00 90.00 120.00
Fractional positions:
Tb 0.000 0.000 0.000
Tb 0.333 0.667 0.667
Tb 0.667 0.333 0.333
Tm 0.000 0.000 0.181
Tm 0.333 0.667 0.847
Tm 0.667 0.333 0.514
As 0.000 0.000 0.590
As 0.333 0.667 0.257
As 0.667 0.333 0.923
Se 0.000 0.000 0.424
Se 0.333 0.667 0.091
Se 0.667 0.333 0.757



Entry 5:
This entry pairs a crystal structure of TeAsSe4 with its simulated PXRD pattern. Radiation: a wavelength of 1.5418 Å. Structure: the PBE geometry in Alexandria.
Intensities are scaled so that the largest is 100.

Principal peaks in the range 10° ≤ 2θ ≤ 90°, in order of rising 2θ:
2theta, I (rel.)
13.46, 65
27.67, 27
32.41, 52
32.99, 100
45.82, 40
48.01, 33

Cell and atoms:
a b c (Å): 13.299 3.774 6.575
angles (deg): 90.00 98.29 90.00
Fractional positions:
Te 0.000 0.000 0.000
Te 0.500 0.500 0.000
As 0.000 0.500 0.500
As 0.500 0.000 0.500
Se 0.124 0.000 0.383
Se 0.128 0.500 0.856
Se 0.372 0.000 0.144
Se 0.376 0.500 0.617
Se 0.624 0.500 0.383
Se 0.628 0.000 0.856
Se 0.872 0.500 0.144
Se 0.876 0.000 0.617



Entry 6:
This entry pairs a crystal structure of Th8Te4As3Se with its simulated PXRD pattern. Radiation: a wavelength of 1.5418 Å. Structure: the PBE geometry in Alexandria.
Intensities are scaled so that the largest is 100.

Principal peaks in the range 10° ≤ 2θ ≤ 90°, in order of rising 2θ:
2theta, I (rel.)
25.34, 19
28.99, 100
40.69, 36
42.24, 38
52.05, 20
69.18, 17

Cell and atoms:
a b c (Å): 8.882 8.882 8.882
angles (deg): 57.60 57.60 57.60
Fractional positions:
Th 0.239 0.740 0.740
Th 0.240 0.240 0.240
Th 0.260 0.260 0.761
Th 0.260 0.761 0.260
Th 0.740 0.239 0.740
Th 0.740 0.740 0.239
Th 0.760 0.760 0.760
Th 0.761 0.260 0.260
Te 0.000 0.000 0.000
Te 0.000 0.500 0.500
Te 0.500 0.000 0.500
Te 0.500 0.500 0.000
As 0.000 0.000 0.500
As 0.000 0.500 0.000
As 0.500 0.000 0.000
Se 0.500 0.500 0.500



Entry 7:
This entry pairs a crystal structure of Tm3TeAsSe with its simulated PXRD pattern. Radiation: a wavelength of 1.5418 Å. Structure: the PBE geometry in Alexandria.
Intensities are scaled so that the largest is 100.

Principal peaks in the range 10° ≤ 2θ ≤ 90°, in order of rising 2θ:
2theta, I (rel.)
22.88, 48
28.89, 79
29.92, 57
30.15, 56
32.20, 100
37.43, 54

Cell and atoms:
a b c (Å): 7.991 7.991 6.839
angles (deg): 97.69 97.69 128.84
Fractional positions:
Tm 0.168 0.315 0.998
Tm 0.249 0.751 0.750
Tm 0.315 0.168 0.498
Tm 0.685 0.832 0.502
Tm 0.751 0.249 0.250
Tm 0.832 0.685 0.002
Te 0.251 0.749 0.250
Te 0.749 0.251 0.750
As 0.062 0.938 0.750
As 0.938 0.062 0.250
Se 0.441 0.559 0.750
Se 0.559 0.441 0.250



Entry 8:
This entry pairs a crystal structure of Y8Te4AsSe3 with its simulated PXRD pattern. Radiation: a wavelength of 1.5418 Å. Structure: the PBE geometry in Alexandria.
Intensities are scaled so that the largest is 100.

Principal peaks in the range 10° ≤ 2θ ≤ 90°, in order of rising 2θ:
2theta, I (rel.)
29.82, 100
42.34, 33
43.02, 38
53.22, 19
69.77, 12
70.74, 16

Cell and atoms:
a b c (Å): 8.540 8.540 8.540
angles (deg): 59.00 59.00 59.00
Fractional positions:
Y 0.238 0.238 0.238
Y 0.243 0.736 0.736
Y 0.264 0.264 0.757
Y 0.264 0.757 0.264
Y 0.736 0.243 0.736
Y 0.736 0.736 0.243
Y 0.757 0.264 0.264
Y 0.762 0.762 0.762
Te 0.000 0.000 0.000
Te 0.000 0.500 0.500
Te 0.500 0.000 0.500
Te 0.500 0.500 0.000
As 0.500 0.500 0.500
Se 0.000 0.000 0.500
Se 0.000 0.500 0.000
Se 0.500 0.000 0.000



Entry 9:
This entry pairs a crystal structure of Th4As2Se with its simulated PXRD pattern. Radiation: a wavelength of 1.5418 Å. Structure: the PBE geometry in Alexandria.
Intensities are scaled so that the largest is 100.

Principal peaks in the range 10° ≤ 2θ ≤ 90°, in order of rising 2θ:
2theta, I (rel.)
27.98, 100
29.44, 39
30.10, 84
32.02, 36
39.01, 42
53.78, 34

Cell and atoms:
a b c (Å): 7.194 7.194 14.380
angles (deg): 90.00 90.00 147.44
Fractional positions:
Th 0.000 0.000 0.000
Th 0.000 0.000 0.500
Th 0.283 0.717 0.626
Th 0.283 0.717 0.874
Th 0.433 0.567 0.250
Th 0.567 0.433 0.750
Th 0.717 0.283 0.126
Th 0.717 0.283 0.374
As 0.357 0.643 0.062
As 0.357 0.643 0.438
As 0.643 0.357 0.562
As 0.643 0.357 0.938
Se 0.097 0.903 0.250
Se 0.903 0.097 0.750



Entry 10:
This entry pairs a crystal structure of Th4AsSe4 with its simulated PXRD pattern. Radiation: a wavelength of 1.5418 Å. Structure: the PBE geometry in Alexandria.
Intensities are scaled so that the largest is 100.

Principal peaks in the range 10° ≤ 2θ ≤ 90°, in order of rising 2θ:
2theta, I (rel.)
26.02, 21
29.92, 100
30.41, 47
42.69, 56
43.68, 35
53.52, 20

Cell and atoms:
a b c (Å): 7.232 7.232 10.464
angles (deg): 119.21 119.21 33.87
Fractional positions:
Th 0.101 0.101 0.407
Th 0.298 0.298 0.208
Th 0.702 0.702 0.792
Th 0.899 0.899 0.593
As 0.500 0.500 0.500
Se 0.105 0.105 0.897
Se 0.316 0.316 0.717
Se 0.684 0.684 0.283
Se 0.895 0.895 0.103



Entry 11:
This entry pairs a crystal structure of ThAs2Se6 with its simulated PXRD pattern. Radiation: a wavelength of 1.5418 Å. Structure: the PBE geometry in Alexandria.
Intensities are scaled so that the largest is 100.

Principal peaks in the range 10° ≤ 2θ ≤ 90°, in order of rising 2θ:
2theta, I (rel.)
11.31, 44
15.06, 64
16.43, 39
27.87, 100
34.33, 34
44.75, 30

Cell and atoms:
a b c (Å): 8.812 8.812 8.812
angles (deg): 46.92 46.92 46.92
Fractional positions:
Th 0.000 0.000 0.000
As 0.278 0.278 0.278
As 0.387 0.387 0.387
Se 0.130 0.365 0.760
Se 0.188 0.962 0.591
Se 0.365 0.760 0.130
Se 0.591 0.188 0.962
Se 0.760 0.130 0.365
Se 0.962 0.591 0.188



Entry 12:
This entry pairs a crystal structure of Tl7AsSe6 with its simulated PXRD pattern. Radiation: a wavelength of 1.5418 Å. Structure: the PBE geometry in Alexandria.
Intensities are scaled so that the largest is 100.

Principal peaks in the range 10° ≤ 2θ ≤ 90°, in order of rising 2θ:
2theta, I (rel.)
23.42, 100
23.82, 26
27.56, 29
27.68, 51
29.66, 28
34.34, 41

Cell and atoms:
a b c (Å): 12.147 12.147 12.147
angles (deg): 141.92 107.28 85.17
Fractional positions:
Tl 0.042 0.238 0.280
Tl 0.116 0.508 0.853
Tl 0.155 0.008 0.392
Tl 0.250 0.250 0.000
Tl 0.345 0.737 0.853
Tl 0.384 0.237 0.392
Tl 0.458 0.738 0.196
Tl 0.542 0.262 0.804
Tl 0.616 0.763 0.608
Tl 0.655 0.263 0.147
Tl 0.750 0.750 0.000
Tl 0.845 0.992 0.608
Tl 0.884 0.492 0.147
Tl 0.958 0.762 0.720
As 0.250 0.750 0.500
As 0.750 0.250 0.500
Se 0.076 0.855 0.575
Se 0.158 0.892 0.049
Se 0.220 0.645 0.222
Se 0.280 0.502 0.425
Se 0.342 0.392 0.734
Se 0.424 0.998 0.778
Se 0.576 0.002 0.222
Se 0.658 0.608 0.266
Se 0.720 0.498 0.575
Se 0.780 0.355 0.778
Se 0.842 0.108 0.951
Se 0.924 0.145 0.425



Entry 13:
This entry pairs a crystal structure of Tl4As2Se5 with its simulated PXRD pattern. Radiation: a wavelength of 1.5418 Å. Structure: the PBE geometry in Alexandria.
Intensities are scaled so that the largest is 100.

Principal peaks in the range 10° ≤ 2θ ≤ 90°, in order of rising 2θ:
2theta, I (rel.)
23.37, 54
28.12, 71
29.08, 55
29.42, 44
31.50, 60
32.17, 100

Cell and atoms:
a b c (Å): 6.617 6.617 9.167
angles (deg): 107.51 107.51 70.23
Fractional positions:
Tl 0.000 0.000 0.000
Tl 0.021 0.021 0.575
Tl 0.440 0.440 0.897
Tl 0.771 0.771 0.196
As 0.431 0.431 0.273
As 0.669 0.669 0.667
Se 0.327 0.823 0.297
Se 0.424 0.424 0.541
Se 0.457 0.942 0.849
Se 0.823 0.327 0.297
Se 0.942 0.457 0.849